Nd4MnNi3O12: computed X-ray powder pattern (λ = 1.5418 Å (Cu Kα)), based on DFT lattice parameters and positions (GGA+U).
Peak positions follow from Bragg's law for the DFT cell and can differ from measured ones.

Top 10 peaks for 2θ from 10° to 90°, in order of falling intensity:
2θ (°)  I (rel.)  hkl
32.67  100  1 1 -2
58.67  36  2 0 -4
32.97  33  2 0 0
32.78  32  1 1 2
32.22  28  0 2 0
47.07  20  0 0 4
22.89  17  1 -1 0
46.71  15  2 -2 0
46.83  15  2 2 0
40.60  14  2 0 2

Lattice parameters (Å, degrees): 5.434 5.557 7.722 90.22 90.06 90.14
Space group P-1 (No. 2)
Inequivalent atoms, fractional coordinates:
Nd  0.011  0.446  0.248 (multiplicity 2)
Nd  0.487  0.950  0.248 (multiplicity 2)
Mn  0.500  0.500  0.500 (multiplicity 1)
Ni  0.000  0.000  0.000 (multiplicity 1)
Ni  0.000  0.000  0.500 (multiplicity 1)
Ni  0.500  0.500  0.000 (multiplicity 1)
O  0.083  0.981  0.756 (multiplicity 2)
O  0.205  0.715  0.044 (multiplicity 2)
O  0.216  0.701  0.457 (multiplicity 2)
O  0.284  0.205  0.044 (multiplicity 2)
O  0.300  0.216  0.455 (multiplicity 2)
O  0.419  0.481  0.743 (multiplicity 2)